# 1
# LiCa2PbF8
Calculated X-ray diffraction stick pattern, a wavelength of 1.5418 Å. Input: a cell relaxed with PBE.
Peak positions follow from Bragg's law for the DFT cell and can differ from measured ones.

Principal peaks in the range 2θ from 15° to 90°, most intense first:
two_theta  intensity
27.24  100
20.59  57
29.16  52
19.22  44
28.25  40
25.18  33

Structural model:
Lattice parameters (Å, degrees): 3.9846 5.4581 7.7986 85.83 89.53 87.91
Fractional coordinates of all 12 atoms:
Li (0.0000, 0.0000, 0.0000)
Ca (0.4943, 0.4620, 0.7750)
Ca (0.5057, 0.5380, 0.2250)
Pb (0.0000, 0.0000, 0.5000)
F (0.0169, 0.3298, 0.2935)
F (0.0179, 0.1811, 0.7674)
F (0.4320, 0.7497, 0.9708)
F (0.4960, 0.7624, 0.4798)
F (0.5040, 0.2376, 0.5202)
F (0.5680, 0.2503, 0.0292)
F (0.9821, 0.8189, 0.2326)
F (0.9831, 0.6702, 0.7065)

=====

# 2
# LiCaPdF6
Calculated X-ray diffraction stick pattern, a wavelength of 1.5418 Å. Input: a cell relaxed with PBE.
Peak positions follow from Bragg's law for the DFT cell and can differ from measured ones.

Principal peaks in the range 2θ from 15° to 90°, most intense first:
two_theta  intensity
20.02  100
25.55  85
49.34  61
32.10  47
17.49  31
31.13  27

Structural model:
Lattice parameters (Å, degrees): 4.9306 4.9306 10.1417 90.00 90.00 90.00
Fractional coordinates of all 18 atoms:
Li (0.0000, 0.0000, 0.0000)
Li (0.5000, 0.5000, 0.5000)
Ca (0.0000, 0.0000, 0.3479)
Ca (0.5000, 0.5000, 0.8479)
Pd (0.0000, 0.0000, 0.6775)
Pd (0.5000, 0.5000, 0.1775)
F (0.1827, 0.1827, 0.8446)
F (0.2047, 0.2047, 0.5222)
F (0.2183, 0.2183, 0.1747)
F (0.2817, 0.7183, 0.6747)
F (0.2953, 0.7047, 0.0222)
F (0.3173, 0.6827, 0.3446)
F (0.6827, 0.3173, 0.3446)
F (0.7047, 0.2953, 0.0222)
F (0.7183, 0.2817, 0.6747)
F (0.7817, 0.7817, 0.1747)
F (0.7953, 0.7953, 0.5222)
F (0.8173, 0.8173, 0.8446)

=====

# 3
# LiCaRuF6
Calculated X-ray diffraction stick pattern, a wavelength of 1.5418 Å. Input: a cell relaxed with PBE.
Peak positions follow from Bragg's law for the DFT cell and can differ from measured ones.

Principal peaks in the range 2θ from 15° to 90°, most intense first:
two_theta  intensity
21.42  100
26.50  75
50.44  52
38.67  37
33.39  30
17.82  25

Structural model:
Lattice parameters (Å, degrees): 5.2699 5.2699 9.9532 90.00 90.00 120.00
Fractional coordinates of all 18 atoms:
Li (0.3333, 0.6667, 0.2500)
Li (0.6667, 0.3333, 0.7500)
Ca (0.0000, 0.0000, 0.0000)
Ca (0.0000, 0.0000, 0.5000)
Ru (0.3333, 0.6667, 0.7500)
Ru (0.6667, 0.3333, 0.2500)
F (0.0063, 0.3527, 0.6377)
F (0.0063, 0.6535, 0.8623)
F (0.3465, 0.3527, 0.8623)
F (0.3465, 0.9937, 0.6377)
F (0.3527, 0.0063, 0.1377)
F (0.3527, 0.3465, 0.3623)
F (0.6473, 0.6535, 0.6377)
F (0.6473, 0.9937, 0.8623)
F (0.6535, 0.0063, 0.3623)
F (0.6535, 0.6473, 0.1377)
F (0.9937, 0.3465, 0.1377)
F (0.9937, 0.6473, 0.3623)

=====

# 4
# LiCaTmF6
Calculated X-ray diffraction stick pattern, a wavelength of 1.5418 Å. Input: a cell relaxed with PBE.
Peak positions follow from Bragg's law for the DFT cell and can differ from measured ones.

Principal peaks in the range 2θ from 15° to 90°, most intense first:
two_theta  intensity
19.56  100
24.83  69
48.26  60
31.74  43
17.43  34
30.50  34

Structural model:
Lattice parameters (Å, degrees): 5.0715 5.0715 10.1752 90.00 90.00 90.00
Fractional coordinates of all 18 atoms:
Li (0.0000, 0.0000, 0.0000)
Li (0.5000, 0.5000, 0.5000)
Ca (0.0000, 0.0000, 0.6691)
Ca (0.5000, 0.5000, 0.1691)
Tm (0.0000, 0.0000, 0.3352)
Tm (0.5000, 0.5000, 0.8352)
F (0.1866, 0.1866, 0.1692)
F (0.2004, 0.2004, 0.4928)
F (0.1995, 0.1995, 0.8420)
F (0.3005, 0.6995, 0.3420)
F (0.2996, 0.7004, 0.9928)
F (0.3134, 0.6866, 0.6692)
F (0.6866, 0.3134, 0.6692)
F (0.6995, 0.3005, 0.3420)
F (0.7004, 0.2996, 0.9928)
F (0.7996, 0.7996, 0.4928)
F (0.8005, 0.8005, 0.8420)
F (0.8134, 0.8134, 0.1692)

=====

# 5
# LiCaUF8
Calculated X-ray diffraction stick pattern, a wavelength of 1.5418 Å. Input: a cell relaxed with PBE.
Peak positions follow from Bragg's law for the DFT cell and can differ from measured ones.

Principal peaks in the range 2θ from 15° to 90°, most intense first:
two_theta  intensity
18.51  100
28.74  45
38.66  32
16.15  26
45.42  24
29.62  21

Structural model:
Lattice parameters (Å, degrees): 6.6564 6.6564 6.6564 132.81 132.81 68.96
Fractional coordinates of all 11 atoms:
Li (0.0000, 0.0000, 0.0000)
Ca (0.2500, 0.7500, 0.5000)
U (0.5000, 0.5000, 0.0000)
F (0.1460, 0.1776, 0.6315)
F (0.2023, 0.7445, 0.0955)
F (0.2555, 0.3509, 0.4578)
F (0.4855, 0.8540, 0.0315)
F (0.5461, 0.5145, 0.3685)
F (0.6491, 0.1069, 0.9045)
F (0.8224, 0.4539, 0.9685)
F (0.8931, 0.7977, 0.5422)

=====

# 6
# Ca5Mg2F12
Calculated X-ray diffraction stick pattern, a wavelength of 1.5418 Å. Input: a cell relaxed with PBE.
Peak positions follow from Bragg's law for the DFT cell and can differ from measured ones.

Principal peaks in the range 2θ from 15° to 90°, most intense first:
two_theta  intensity
26.50  100
27.93  84
38.89  42
43.95  34
42.05  33
45.01  32

Structural model:
Lattice parameters (Å, degrees): 6.9768 6.9768 7.4965 103.92 103.92 51.98
Fractional coordinates of all 19 atoms:
Ca (0.0000, 0.0000, 0.0000)
Ca (0.2966, 0.2966, 0.6641)
Ca (0.3048, 0.3048, 0.1317)
Ca (0.6952, 0.6952, 0.8683)
Ca (0.7034, 0.7034, 0.3359)
Mg (0.2433, 0.7567, 0.5000)
Mg (0.7567, 0.2433, 0.5000)
F (0.0195, 0.0195, 0.3319)
F (0.1106, 0.6030, 0.9059)
F (0.1146, 0.5545, 0.4200)
F (0.3970, 0.8894, 0.0941)
F (0.4455, 0.8854, 0.5800)
F (0.4991, 0.4991, 0.6810)
F (0.5009, 0.5009, 0.3190)
F (0.5545, 0.1146, 0.4200)
F (0.6030, 0.1106, 0.9059)
F (0.8854, 0.4455, 0.5800)
F (0.8894, 0.3970, 0.0941)
F (0.9805, 0.9805, 0.6681)